This entry pairs a crystal structure of SrAg2Cl4 with its calculated powder X-ray diffraction pattern. Radiation: Cu Kα X-rays. Structure: a structure optimized by DFT (GGA-PBE).

Cell and atoms:
```
14
Lattice="7.2880 0.0000 0.0000 0.0000 7.2880 0.0000 0.0000 0.0000 6.7229" Properties=species:S:1:pos:R:3 pbc="T T T"
Sr 0.0000 0.0000 0.0000
Sr 3.6440 3.6440 3.3615
Ag 0.0000 3.6440 0.0000
Ag 0.0000 3.6440 3.3615
Ag 3.6440 0.0000 0.0000
Ag 3.6440 0.0000 3.3615
Cl 1.4323 2.2117 5.0422
Cl 1.4323 5.0763 1.6807
Cl 2.2117 1.4323 1.6807
Cl 2.2117 5.8557 5.0422
Cl 5.0763 1.4323 5.0422
Cl 5.0763 5.8557 1.6807
Cl 5.8557 2.2117 1.6807
Cl 5.8557 5.0763 5.0422
```

Most intense lines, 2θ = 10–80°, by angle:
2θ = 17.21°, rel. 43; 2θ = 17.95°, rel. 26; 2θ = 24.43°, rel. 30; 2θ = 30.48°, rel. 27; 2θ = 34.82°, rel. 50; 2θ = 36.36°, rel. 100; 2θ = 44.29°, rel. 17; 2θ = 47.85°, rel. 15; 2θ = 63.43°, rel. 23; 2θ = 66.41°, rel. 14

***

This entry pairs a crystal structure of Ce7Bi2Ir2 with its calculated powder X-ray diffraction pattern. Radiation: Cu Kα X-rays. Structure: a structure optimized by DFT (GGA-PBE).

Cell and atoms:
```
11
Lattice="4.2530 -5.7608 0.0000 4.2530 5.7608 0.0000 0.0000 0.0000 6.7074" Properties=species:S:1:pos:R:3 pbc="T T T"
Ce 0.0000 0.0000 0.0000
Ce 2.1265 2.8804 1.8160
Ce 2.1265 2.8804 4.8915
Ce 2.1265 -2.8804 1.8160
Ce 2.1265 -2.8804 4.8915
Ce 4.2530 0.0000 1.3693
Ce 4.2530 0.0000 5.3382
Bi 1.6317 0.0000 3.3537
Bi 6.8743 0.0000 3.3537
Ir 4.2530 2.7318 0.0000
Ir 4.2530 -2.7318 0.0000
```

Most intense lines, 2θ = 10–80°, by angle:
2θ = 20.32°, rel. 32; 2θ = 24.79°, rel. 81; 2θ = 29.66°, rel. 26; 2θ = 31.05°, rel. 73; 2θ = 37.13°, rel. 22; 2θ = 37.55°, rel. 100; 2θ = 40.13°, rel. 44; 2θ = 42.51°, rel. 21; 2θ = 43.41°, rel. 22; 2θ = 59.59°, rel. 25

***

This entry pairs a crystal structure of SrCd8Au2 with its calculated powder X-ray diffraction pattern. Radiation: Cu Kα X-rays. Structure: a structure optimized by DFT (GGA-PBE).

Cell and atoms:
```
11
Lattice="7.1646 0.0000 0.0000 0.0000 7.1646 0.0000 0.0000 0.0000 5.8622" Properties=species:S:1:pos:R:3 pbc="T T T"
Sr 0.0000 0.0000 0.0000
Cd 2.0725 2.0725 1.4619
Cd 2.0725 2.0725 4.4003
Cd 2.0725 5.0921 1.4619
Cd 2.0725 5.0921 4.4003
Cd 5.0921 2.0725 1.4619
Cd 5.0921 2.0725 4.4003
Cd 5.0921 5.0921 1.4619
Cd 5.0921 5.0921 4.4003
Au 0.0000 3.5823 2.9311
Au 3.5823 0.0000 2.9311
```

Most intense lines, 2θ = 10–80°, by angle:
2θ = 15.11°, rel. 13; 2θ = 17.51°, rel. 12; 2θ = 23.21°, rel. 50; 2θ = 35.43°, rel. 62; 2θ = 37.66°, rel. 15; 2θ = 39.74°, rel. 100; 2θ = 42.79°, rel. 20; 2θ = 50.98°, rel. 14; 2θ = 55.90°, rel. 15; 2θ = 66.51°, rel. 20

***

This entry pairs a crystal structure of ScFeGe with its calculated powder X-ray diffraction pattern. Radiation: Cu Kα X-rays. Structure: a structure optimized by DFT (GGA-PBE).

Cell and atoms:
```
12
Lattice="3.9193 0.0000 0.0000 0.0000 3.9193 0.0000 0.0000 0.0000 12.6711" Properties=species:S:1:pos:R:3 pbc="T T T"
Sc 0.0000 0.0000 1.8718
Sc 0.0000 0.0000 10.7993
Sc 1.9597 1.9597 4.4637
Sc 1.9597 1.9597 8.2073
Fe 0.0000 1.9597 0.0000
Fe 0.0000 1.9597 6.3355
Fe 1.9597 0.0000 0.0000
Fe 1.9597 0.0000 6.3355
Ge 0.0000 0.0000 4.8448
Ge 0.0000 0.0000 7.8263
Ge 1.9597 1.9597 1.4907
Ge 1.9597 1.9597 11.1803
```

Most intense lines, 2θ = 10–80°, by angle:
2θ = 13.98°, rel. 45; 2θ = 23.76°, rel. 14; 2θ = 28.17°, rel. 8; 2θ = 32.30°, rel. 15; 2θ = 35.35°, rel. 26; 2θ = 42.48°, rel. 14; 2θ = 43.38°, rel. 100; 2θ = 46.33°, rel. 45; 2θ = 67.61°, rel. 13; 2θ = 77.49°, rel. 12

***

This entry pairs a crystal structure of Ga4Sn3Pt4 with its calculated powder X-ray diffraction pattern. Radiation: Cu Kα X-rays. Structure: a structure optimized by DFT (GGA-PBE).

Cell and atoms:
```
11
Lattice="-1.8083 4.0324 7.1857 1.8083 -4.0324 7.1857 1.8083 4.0324 -7.1857" Properties=species:S:1:pos:R:3 pbc="T T T"
Ga 1.8083 -2.4552 4.6934
Ga 0.0000 1.5772 2.4922
Ga 1.8083 2.4552 4.6934
Ga 0.0000 6.4876 2.4922
Sn 1.8083 0.0000 0.0000
Sn 0.0000 0.0000 5.6935
Sn 0.0000 0.0000 8.6778
Pt 1.8083 0.0000 3.4545
Pt 0.0000 2.2079 0.0000
Pt 0.0000 5.8569 0.0000
Pt 0.0000 4.0324 3.7312
```

Most intense lines, 2θ = 10–80°, by angle:
2θ = 24.78°, rel. 27; 2θ = 25.34°, rel. 35; 2θ = 33.87°, rel. 100; 2θ = 36.99°, rel. 76; 2θ = 43.81°, rel. 30; 2θ = 43.97°, rel. 37; 2θ = 44.96°, rel. 22; 2θ = 46.21°, rel. 24; 2θ = 50.47°, rel. 25; 2θ = 68.89°, rel. 23

***

This entry pairs a crystal structure of Dy3Tm5Sc2 with its calculated powder X-ray diffraction pattern. Radiation: Cu Kα X-rays. Structure: a structure optimized by DFT (GGA-PBE).

Cell and atoms:
```
20
Lattice="9.1381 0.0000 0.0000 -3.9191 8.2601 0.0000 -2.6092 -4.1293 7.7439" Properties=species:S:1:pos:R:3 pbc="T T T"
Dy -0.9772 -0.8059 2.7091
Dy -1.6171 2.4764 3.4993
Dy -0.9582 4.9710 1.1590
Dy 3.5681 -0.8402 6.5849
Dy 4.2270 1.6544 4.2446
Dy 3.5871 4.9367 5.0348
Tm -0.3325 1.6570 0.3976
Tm -2.2642 0.0211 5.8113
Tm -2.2940 5.7885 4.2733
Tm 2.3019 0.0290 1.9324
Tm 0.3343 -1.6603 7.3718
Tm 2.2756 5.7911 0.3721
Tm 0.3080 4.1018 5.8116
Tm 4.9039 -1.6577 3.4706
Tm 4.8741 4.1097 1.9326
Tm 2.9424 2.4738 7.3463
Sc -2.9226 3.3230 6.6001
Sc 0.9873 0.8394 5.0259
Sc 1.6225 3.2914 2.7180
Sc 5.5325 0.8078 1.1438
```

Most intense lines, 2θ = 10–80°, by angle:
2θ = 12.15°, rel. 4; 2θ = 20.31°, rel. 5; 2θ = 31.70°, rel. 100; 2θ = 36.76°, rel. 50; 2θ = 52.96°, rel. 29; 2θ = 53.03°, rel. 6; 2θ = 63.00°, rel. 17; 2θ = 63.10°, rel. 24; 2θ = 66.19°, rel. 9; 2θ = 78.26°, rel. 4